No. 1
Diffraction record for Na2In3Au2O. The powder XRD pattern is theoretical, not measured: it uses a PBE-relaxed structure and λ = 1.5418 Å (Cu Kα).

a = 6.4486 Å, b = 6.4486 Å, c = 7.6502 Å
α = 93.39°, β = 93.39°, γ = 39.36°
Positions (direct):
Na (0.0000, 0.0000, 0.0000)
Na (0.1544, 0.1544, 0.6903)
In (0.4230, 0.4230, 0.7238)
In (0.4866, 0.4866, 0.3111)
In (0.6882, 0.6882, 0.0884)
Au (0.3202, 0.3202, 0.0394)
Au (0.9217, 0.9217, 0.5012)
O (0.5917, 0.5917, 0.8324)

The 8 most intense peaks (10 to 90 degrees two-theta), most intense first:
two_theta	intensity
37.60	100.0
14.62	99.5
19.26	73.3
24.48	70.6
18.11	55.8
32.45	53.5
32.97	52.9
41.59	47.3

No. 2
Diffraction record for Na4InPbAu2. The powder XRD pattern is theoretical, not measured: it uses a PBE-relaxed structure and λ = 1.5418 Å (Cu Kα).

a = 5.0176 Å, b = 5.0176 Å, c = 7.1123 Å
α = 90.00°, β = 90.00°, γ = 90.00°
Positions (direct):
Na (0.0000, 0.0000, 0.0000)
Na (0.0000, 0.5000, 0.7458)
Na (0.5000, 0.0000, 0.2542)
Na (0.5000, 0.5000, 0.5000)
In (0.0000, 0.0000, 0.5000)
Pb (0.5000, 0.5000, 0.0000)
Au (0.0000, 0.5000, 0.2638)
Au (0.5000, 0.0000, 0.7362)

The 8 most intense peaks (10 to 90 degrees two-theta), most intense first:
two_theta	intensity
35.76	100.0
21.68	67.5
42.21	37.1
64.26	35.4
56.48	15.8
51.52	11.9
86.79	10.9
68.71	9.1

No. 3
Diffraction record for NdInAu6. The powder XRD pattern is theoretical, not measured: it uses a PBE-relaxed structure and λ = 1.5418 Å (Cu Kα).

a = 5.0851 Å, b = 6.0779 Å, c = 5.2202 Å
α = 90.00°, β = 90.00°, γ = 90.00°
Positions (direct):
Nd (0.0000, 0.0000, 0.0000)
In (0.5000, 0.5000, 0.3089)
Au (0.0000, 0.2646, 0.4992)
Au (0.0000, 0.5000, 0.9962)
Au (0.0000, 0.7354, 0.4992)
Au (0.5000, 0.0000, 0.3368)
Au (0.5000, 0.2555, 0.8169)
Au (0.5000, 0.7445, 0.8169)

The 8 most intense peaks (10 to 90 degrees two-theta), most intense first:
two_theta	intensity
38.58	100.0
38.78	55.4
35.30	44.7
34.14	27.0
72.85	21.4
65.55	21.4
74.65	21.2
49.92	18.7

No. 4
Diffraction record for Pr2NdIn3Pd2Au. The powder XRD pattern is theoretical, not measured: it uses a PBE-relaxed structure and λ = 1.5418 Å (Cu Kα).

a = 4.0724 Å, b = 7.8469 Å, c = 7.8469 Å
α = 119.99°, β = 90.00°, γ = 90.00°
Positions (direct):
Pr (0.0000, 0.2057, 0.7943)
Pr (0.0000, 0.7943, 0.2057)
Nd (0.0000, 0.3831, 0.3831)
In (0.5000, 0.0550, 0.0550)
In (0.5000, 0.5341, 0.7935)
In (0.5000, 0.7935, 0.5341)
Pd (0.5000, 0.1286, 0.4605)
Pd (0.5000, 0.4605, 0.1286)
Au (0.0000, 0.7938, 0.7938)

The 8 most intense peaks (10 to 90 degrees two-theta), most intense first:
two_theta	intensity
34.37	100.0
31.67	73.9
39.79	39.2
34.93	34.6
63.94	33.9
41.57	33.1
44.49	24.2
61.20	21.8